# 1
Diffraction record for Fe3C. The X-ray diffraction stick pattern is simulated, not measured: it uses a cell relaxed with PBE and Cu Kα.
Intensities are scaled so that the largest is 100.

Cell and atoms:
```
data_Fe3C
_chemical_formula_sum 'Fe12 C4'
_symmetry_space_group_name_H-M 'P 1'
_symmetry_Int_Tables_number 1
_cell_length_a 5.0302
_cell_length_b 6.7393
_cell_length_c 4.4908
_cell_angle_alpha 90.00
_cell_angle_beta 90.00
_cell_angle_gamma 90.00
loop_
_symmetry_equiv_pos_as_xyz
'x,y,z'
loop_
_atom_site_label
_atom_site_type_symbol
_atom_site_fract_x
_atom_site_fract_y
_atom_site_fract_z
Fe1 Fe 0.0367 0.2500 0.1629
Fe2 Fe 0.1774 0.0684 0.6679
Fe3 Fe 0.1774 0.4316 0.6679
Fe4 Fe 0.3226 0.5684 0.1679
Fe5 Fe 0.3226 0.9316 0.1679
Fe6 Fe 0.4633 0.7500 0.6629
Fe7 Fe 0.5367 0.2500 0.3371
Fe8 Fe 0.6774 0.0684 0.8321
Fe9 Fe 0.6774 0.4316 0.8321
Fe10 Fe 0.8226 0.5684 0.3321
Fe11 Fe 0.8226 0.9316 0.3321
Fe12 Fe 0.9633 0.7500 0.8371
C1 C 0.1230 0.7500 0.4391
C2 C 0.3770 0.2500 0.9391
C3 C 0.6230 0.7500 0.0609
C4 C 0.8770 0.2500 0.5609
```

Top 10 peaks for 5 to 70 degrees two-theta, sorted by position:
- 37.87°, rel. 26
- 38.19°, rel. 24
- 40.16°, rel. 22
- 43.37°, rel. 54
- 44.17°, rel. 49
- 44.98°, rel. 48
- 45.13°, rel. 100
- 46.28°, rel. 48
- 48.81°, rel. 31
- 49.57°, rel. 44

---

# 2
Diffraction record for Fe3C. The X-ray diffraction stick pattern is simulated, not measured: it uses a cell relaxed with PBE and Cu Kα.
Intensities are scaled so that the largest is 100.

Cell and atoms:
```
data_Fe3C
_chemical_formula_sum 'Fe6 C2'
_symmetry_space_group_name_H-M 'P 1'
_symmetry_Int_Tables_number 1
_cell_length_a 4.6617
_cell_length_b 4.6617
_cell_length_c 4.3203
_cell_angle_alpha 90.00
_cell_angle_beta 90.00
_cell_angle_gamma 120.00
loop_
_symmetry_equiv_pos_as_xyz
'x,y,z'
loop_
_atom_site_label
_atom_site_type_symbol
_atom_site_fract_x
_atom_site_fract_y
_atom_site_fract_z
Fe1 Fe 0.0000 0.3211 0.0000
Fe2 Fe 0.0000 0.6789 0.5000
Fe3 Fe 0.3211 0.0000 0.0000
Fe4 Fe 0.3211 0.3211 0.5000
Fe5 Fe 0.6789 0.0000 0.5000
Fe6 Fe 0.6789 0.6789 0.0000
C1 C 0.3333 0.6667 0.2500
C2 C 0.6667 0.3333 0.7500
```

Top 9 peaks for 5 to 70 degrees two-theta, sorted by position:
- 30.30°, rel. 1
- 38.63°, rel. 20
- 41.82°, rel. 24
- 44.15°, rel. 100
- 44.90°, rel. 1
- 47.75°, rel. 1
- 58.23°, rel. 16
- 64.80°, rel. 1
- 69.90°, rel. 16

---

# 3
Diffraction record for Fe2C. The X-ray diffraction stick pattern is simulated, not measured: it uses a cell relaxed with PBE and Cu Kα.
Intensities are scaled so that the largest is 100.

Cell and atoms:
```
data_Fe2C
_chemical_formula_sum 'Fe4 C2'
_symmetry_space_group_name_H-M 'P 1'
_symmetry_Int_Tables_number 1
_cell_length_a 4.2816
_cell_length_b 4.7135
_cell_length_c 2.8235
_cell_angle_alpha 90.00
_cell_angle_beta 90.00
_cell_angle_gamma 90.00
loop_
_symmetry_equiv_pos_as_xyz
'x,y,z'
loop_
_atom_site_label
_atom_site_type_symbol
_atom_site_fract_x
_atom_site_fract_y
_atom_site_fract_z
Fe1 Fe 0.2495 0.1564 0.0000
Fe2 Fe 0.2505 0.6564 0.5000
Fe3 Fe 0.7495 0.3436 0.5000
Fe4 Fe 0.7505 0.8436 0.0000
C1 C 0.0000 0.0000 0.5000
C2 C 0.5000 0.5000 0.0000
```

Top 10 peaks for 5 to 70 degrees two-theta, sorted by position:
- 28.16°, rel. 2
- 37.12°, rel. 24
- 38.19°, rel. 5
- 42.21°, rel. 32
- 42.90°, rel. 100
- 43.85°, rel. 57
- 57.45°, rel. 22
- 58.22°, rel. 6
- 66.20°, rel. 10
- 68.32°, rel. 18

---

# 4
Diffraction record for Fe23C6. The X-ray diffraction stick pattern is simulated, not measured: it uses a cell relaxed with PBE and Cu Kα.
Intensities are scaled so that the largest is 100.

Cell and atoms:
```
data_Fe23C6
_chemical_formula_sum 'Fe23 C6'
_symmetry_space_group_name_H-M 'P 1'
_symmetry_Int_Tables_number 1
_cell_length_a 7.3861
_cell_length_b 7.3861
_cell_length_c 7.3861
_cell_angle_alpha 60.00
_cell_angle_beta 60.00
_cell_angle_gamma 60.00
loop_
_symmetry_equiv_pos_as_xyz
'x,y,z'
loop_
_atom_site_label
_atom_site_type_symbol
_atom_site_fract_x
_atom_site_fract_y
_atom_site_fract_z
Fe1 Fe 0.0000 0.0000 0.0000
Fe2 Fe 0.0000 0.0000 0.3384
Fe3 Fe 0.0000 0.0000 0.6616
Fe4 Fe 0.0000 0.3384 0.0000
Fe5 Fe 0.0000 0.3384 0.6616
Fe6 Fe 0.0000 0.6616 0.0000
Fe7 Fe 0.0000 0.6616 0.3384
Fe8 Fe 0.1510 0.6163 0.6163
Fe9 Fe 0.2500 0.2500 0.2500
Fe10 Fe 0.3384 0.0000 0.0000
Fe11 Fe 0.3384 0.0000 0.6616
Fe12 Fe 0.3384 0.6616 0.0000
Fe13 Fe 0.3837 0.3837 0.3837
Fe14 Fe 0.3837 0.3837 0.8490
Fe15 Fe 0.3837 0.8490 0.3837
Fe16 Fe 0.6163 0.1510 0.6163
Fe17 Fe 0.6163 0.6163 0.1510
Fe18 Fe 0.6163 0.6163 0.6163
Fe19 Fe 0.6616 0.0000 0.0000
Fe20 Fe 0.6616 0.0000 0.3384
Fe21 Fe 0.6616 0.3384 0.0000
Fe22 Fe 0.7500 0.7500 0.7500
Fe23 Fe 0.8490 0.3837 0.3837
C1 C 0.2774 0.2774 0.7226
C2 C 0.2774 0.7226 0.2774
C3 C 0.2774 0.7226 0.7226
C4 C 0.7226 0.2774 0.2774
C5 C 0.7226 0.2774 0.7226
C6 C 0.7226 0.7226 0.2774
```

Top 10 peaks for 5 to 70 degrees two-theta, sorted by position:
- 34.34°, rel. 5
- 38.54°, rel. 24
- 42.39°, rel. 28
- 45.10°, rel. 100
- 49.35°, rel. 21
- 51.78°, rel. 27
- 52.57°, rel. 12
- 55.65°, rel. 2
- 57.89°, rel. 3
- 58.62°, rel. 7

---

# 5
Diffraction record for Fe3C. The X-ray diffraction stick pattern is simulated, not measured: it uses a cell relaxed with PBE and Cu Kα.
Intensities are scaled so that the largest is 100.

Cell and atoms:
```
data_Fe3C
_chemical_formula_sum 'Fe12 C4'
_symmetry_space_group_name_H-M 'P 1'
_symmetry_Int_Tables_number 1
_cell_length_a 5.0727
_cell_length_b 10.7226
_cell_length_c 3.0490
_cell_angle_alpha 90.00
_cell_angle_beta 90.00
_cell_angle_gamma 90.00
loop_
_symmetry_equiv_pos_as_xyz
'x,y,z'
loop_
_atom_site_label
_atom_site_type_symbol
_atom_site_fract_x
_atom_site_fract_y
_atom_site_fract_z
Fe1 Fe 0.1127 0.0728 0.2497
Fe2 Fe 0.1127 0.4272 0.2497
Fe3 Fe 0.1504 0.7500 0.2474
Fe4 Fe 0.3496 0.2500 0.7474
Fe5 Fe 0.3873 0.5728 0.7497
Fe6 Fe 0.3873 0.9272 0.7497
Fe7 Fe 0.6127 0.0728 0.2503
Fe8 Fe 0.6127 0.4272 0.2503
Fe9 Fe 0.6504 0.7500 0.2526
Fe10 Fe 0.8496 0.2500 0.7526
Fe11 Fe 0.8873 0.5728 0.7503
Fe12 Fe 0.8873 0.9272 0.7503
C1 C 0.0918 0.2500 0.2501
C2 C 0.4082 0.7500 0.7501
C3 C 0.5918 0.2500 0.2499
C4 C 0.9082 0.7500 0.7499
```

Top 10 peaks for 5 to 70 degrees two-theta, sorted by position:
- 33.43°, rel. 4
- 38.82°, rel. 100
- 39.30°, rel. 2
- 43.76°, rel. 67
- 46.58°, rel. 69
- 47.39°, rel. 4
- 51.11°, rel. 25
- 52.14°, rel. 2
- 58.54°, rel. 2
- 60.75°, rel. 15

---

# 6
Diffraction record for Fe3C. The X-ray diffraction stick pattern is simulated, not measured: it uses a cell relaxed with PBE and Cu Kα.
Intensities are scaled so that the largest is 100.

Cell and atoms:
```
data_Fe3C
_chemical_formula_sum 'Fe12 C4'
_symmetry_space_group_name_H-M 'P 1'
_symmetry_Int_Tables_number 1
_cell_length_a 4.2600
_cell_length_b 4.2600
_cell_length_c 14.5924
_cell_angle_alpha 102.69
_cell_angle_beta 102.69
_cell_angle_gamma 36.26
loop_
_symmetry_equiv_pos_as_xyz
'x,y,z'
loop_
_atom_site_label
_atom_site_type_symbol
_atom_site_fract_x
_atom_site_fract_y
_atom_site_fract_z
Fe1 Fe 0.0385 0.0385 0.3792
Fe2 Fe 0.0405 0.0405 0.7928
Fe3 Fe 0.1194 0.1194 0.9667
Fe4 Fe 0.2635 0.2635 0.2850
Fe5 Fe 0.3492 0.3492 0.4651
Fe6 Fe 0.3522 0.3522 0.8759
Fe7 Fe 0.6478 0.6478 0.1241
Fe8 Fe 0.6508 0.6508 0.5349
Fe9 Fe 0.7365 0.7365 0.7150
Fe10 Fe 0.8806 0.8806 0.0333
Fe11 Fe 0.9595 0.9595 0.2072
Fe12 Fe 0.9615 0.9615 0.6208
C1 C 0.2747 0.2747 0.6202
C2 C 0.3330 0.3330 0.1250
C3 C 0.6670 0.6670 0.8750
C4 C 0.7253 0.7253 0.3798
```

Top 10 peaks for 5 to 70 degrees two-theta, sorted by position:
- 35.76°, rel. 26
- 37.06°, rel. 64
- 41.93°, rel. 39
- 43.38°, rel. 100
- 44.83°, rel. 72
- 45.32°, rel. 89
- 46.46°, rel. 78
- 48.13°, rel. 36
- 48.81°, rel. 47
- 55.86°, rel. 30

---

# 7
Diffraction record for Fe3C. The X-ray diffraction stick pattern is simulated, not measured: it uses a cell relaxed with PBE and Cu Kα.
Intensities are scaled so that the largest is 100.

Cell and atoms:
```
data_Fe3C
_chemical_formula_sum 'Fe12 C4'
_symmetry_space_group_name_H-M 'P 1'
_symmetry_Int_Tables_number 1
_cell_length_a 5.0473
_cell_length_b 7.0413
_cell_length_c 4.6572
_cell_angle_alpha 90.00
_cell_angle_beta 90.00
_cell_angle_gamma 90.00
loop_
_symmetry_equiv_pos_as_xyz
'x,y,z'
loop_
_atom_site_label
_atom_site_type_symbol
_atom_site_fract_x
_atom_site_fract_y
_atom_site_fract_z
Fe1 Fe 0.0498 0.2500 0.1603
Fe2 Fe 0.1686 0.0775 0.6527
Fe3 Fe 0.1686 0.4225 0.6527
Fe4 Fe 0.3314 0.5775 0.1527
Fe5 Fe 0.3314 0.9225 0.1527
Fe6 Fe 0.4502 0.7500 0.6603
Fe7 Fe 0.5498 0.2500 0.3397
Fe8 Fe 0.6686 0.0775 0.8473
Fe9 Fe 0.6686 0.4225 0.8473
Fe10 Fe 0.8314 0.5775 0.3473
Fe11 Fe 0.8314 0.9225 0.3473
Fe12 Fe 0.9502 0.7500 0.8397
C1 C 0.0000 0.0000 0.0000
C2 C 0.0000 0.5000 0.0000
C3 C 0.5000 0.0000 0.5000
C4 C 0.5000 0.5000 0.5000
```

Top 10 peaks for 5 to 70 degrees two-theta, sorted by position:
- 36.62°, rel. 22
- 37.87°, rel. 46
- 42.75°, rel. 100
- 43.16°, rel. 99
- 44.15°, rel. 23
- 44.75°, rel. 48
- 46.94°, rel. 33
- 48.50°, rel. 37
- 58.31°, rel. 16
- 68.64°, rel. 19

---

# 8
Diffraction record for Fe2C. The X-ray diffraction stick pattern is simulated, not measured: it uses a cell relaxed with PBE and Cu Kα.
Intensities are scaled so that the largest is 100.

Cell and atoms:
```
data_Fe2C
_chemical_formula_sum 'Fe8 C4'
_symmetry_space_group_name_H-M 'P 1'
_symmetry_Int_Tables_number 1
_cell_length_a 6.1722
_cell_length_b 2.6031
_cell_length_c 6.5810
_cell_angle_alpha 90.00
_cell_angle_beta 90.00
_cell_angle_gamma 90.00
loop_
_symmetry_equiv_pos_as_xyz
'x,y,z'
loop_
_atom_site_label
_atom_site_type_symbol
_atom_site_fract_x
_atom_site_fract_y
_atom_site_fract_z
Fe1 Fe 0.0061 0.2500 0.1796
Fe2 Fe 0.1758 0.2500 0.5251
Fe3 Fe 0.3242 0.7500 0.0251
Fe4 Fe 0.4939 0.7500 0.6796
Fe5 Fe 0.5061 0.2500 0.3204
Fe6 Fe 0.6758 0.2500 0.9749
Fe7 Fe 0.8242 0.7500 0.4749
Fe8 Fe 0.9939 0.7500 0.8204
C1 C 0.2242 0.7500 0.3114
C2 C 0.2758 0.2500 0.8114
C3 C 0.7242 0.7500 0.1886
C4 C 0.7758 0.2500 0.6886
```

Top 10 peaks for 5 to 70 degrees two-theta, sorted by position:
- 37.14°, rel. 17
- 40.03°, rel. 100
- 43.80°, rel. 56
- 45.59°, rel. 19
- 46.23°, rel. 53
- 46.87°, rel. 43
- 47.75°, rel. 60
- 53.84°, rel. 18
- 56.88°, rel. 25
- 69.25°, rel. 8

---

# 9
Diffraction record for Ga2Fe6C. The X-ray diffraction stick pattern is simulated, not measured: it uses a cell relaxed with PBE and Cu Kα.
Intensities are scaled so that the largest is 100.

Cell and atoms:
```
data_Ga2Fe6C
_chemical_formula_sum 'Ga2 Fe6 C1'
_symmetry_space_group_name_H-M 'P 1'
_symmetry_Int_Tables_number 1
_cell_length_a 3.7769
_cell_length_b 3.7769
_cell_length_c 7.1235
_cell_angle_alpha 90.00
_cell_angle_beta 90.00
_cell_angle_gamma 90.00
loop_
_symmetry_equiv_pos_as_xyz
'x,y,z'
loop_
_atom_site_label
_atom_site_type_symbol
_atom_site_fract_x
_atom_site_fract_y
_atom_site_fract_z
Ga1 Ga 0.0000 0.0000 0.2473
Ga2 Ga 0.0000 0.0000 0.7527
Fe1 Fe 0.0000 0.5000 0.0000
Fe2 Fe 0.0000 0.5000 0.5000
Fe3 Fe 0.5000 0.0000 0.0000
Fe4 Fe 0.5000 0.0000 0.5000
Fe5 Fe 0.5000 0.5000 0.2303
Fe6 Fe 0.5000 0.5000 0.7697
C1 C 0.5000 0.5000 0.5000
```

Top 9 peaks for 5 to 70 degrees two-theta, sorted by position:
- 33.56°, rel. 1
- 34.62°, rel. 1
- 37.89°, rel. 1
- 42.30°, rel. 100
- 45.10°, rel. 1
- 48.19°, rel. 37
- 51.30°, rel. 14
- 51.50°, rel. 1
- 60.68°, rel. 1

---

# 10
Diffraction record for Ho2Ga3Fe14C2. The X-ray diffraction stick pattern is simulated, not measured: it uses a cell relaxed with PBE and Cu Kα.
Intensities are scaled so that the largest is 100.

Cell and atoms:
```
data_Ho2Ga3Fe14C2
_chemical_formula_sum 'Ho2 Ga3 Fe14 C2'
_symmetry_space_group_name_H-M 'P 1'
_symmetry_Int_Tables_number 1
_cell_length_a 6.4731
_cell_length_b 6.4731
_cell_length_c 6.5266
_cell_angle_alpha 96.62
_cell_angle_beta 96.62
_cell_angle_gamma 82.75
loop_
_symmetry_equiv_pos_as_xyz
'x,y,z'
loop_
_atom_site_label
_atom_site_type_symbol
_atom_site_fract_x
_atom_site_fract_y
_atom_site_fract_z
Ho1 Ho 0.1520 0.1520 0.3393
Ho2 Ho 0.8480 0.8480 0.6607
Ga1 Ga 0.0000 0.5000 0.0000
Ga2 Ga 0.5000 0.0000 0.0000
Ga3 Ga 0.5000 0.5000 0.5000
Fe1 Fe 0.1523 0.6510 0.3453
Fe2 Fe 0.1534 0.1534 0.8474
Fe3 Fe 0.2054 0.7946 0.0000
Fe4 Fe 0.2132 0.5011 0.7134
Fe5 Fe 0.3490 0.8477 0.6547
Fe6 Fe 0.4088 0.4088 0.0960
Fe7 Fe 0.4989 0.7868 0.2866
Fe8 Fe 0.5011 0.2132 0.7134
Fe9 Fe 0.5912 0.5912 0.9040
Fe10 Fe 0.6510 0.1523 0.3453
Fe11 Fe 0.7868 0.4989 0.2866
Fe12 Fe 0.7946 0.2054 0.0000
Fe13 Fe 0.8466 0.8466 0.1526
Fe14 Fe 0.8477 0.3490 0.6547
C1 C 0.0000 0.5000 0.5000
C2 C 0.5000 0.0000 0.5000
```

Top 10 peaks for 5 to 70 degrees two-theta, sorted by position:
- 29.77°, rel. 46
- 36.24°, rel. 38
- 37.53°, rel. 35
- 41.79°, rel. 72
- 42.03°, rel. 24
- 42.14°, rel. 23
- 42.25°, rel. 33
- 42.43°, rel. 100
- 43.40°, rel. 65
- 61.44°, rel. 21

---

# 11
Diffraction record for LaGa4Fe9C. The X-ray diffraction stick pattern is simulated, not measured: it uses a cell relaxed with PBE and Cu Kα.
Intensities are scaled so that the largest is 100.

Cell and atoms:
```
data_LaGa4Fe9C
_chemical_formula_sum 'La2 Ga8 Fe18 C2'
_symmetry_space_group_name_H-M 'P 1'
_symmetry_Int_Tables_number 1
_cell_length_a 8.2761
_cell_length_b 8.2761
_cell_length_c 8.2761
_cell_angle_alpha 119.43
_cell_angle_beta 119.43
_cell_angle_gamma 91.00
loop_
_symmetry_equiv_pos_as_xyz
'x,y,z'
loop_
_atom_site_label
_atom_site_type_symbol
_atom_site_fract_x
_atom_site_fract_y
_atom_site_fract_z
La1 La 0.2500 0.2500 0.0000
La2 La 0.7500 0.7500 0.0000
Ga1 Ga 0.0608 0.5608 0.8663
Ga2 Ga 0.1945 0.0608 0.5000
Ga3 Ga 0.3055 0.8055 0.8663
Ga4 Ga 0.4392 0.3055 0.5000
Ga5 Ga 0.5608 0.6945 0.5000
Ga6 Ga 0.6945 0.1945 0.1337
Ga7 Ga 0.8055 0.9392 0.5000
Ga8 Ga 0.9392 0.4392 0.1337
Fe1 Fe 0.0000 0.5000 0.5000
Fe2 Fe 0.0648 0.2119 0.2767
Fe3 Fe 0.0660 0.7825 0.5000
Fe4 Fe 0.2119 0.9352 0.1471
Fe5 Fe 0.2175 0.7175 0.2834
Fe6 Fe 0.2825 0.5660 0.5000
Fe7 Fe 0.2881 0.4352 0.7233
Fe8 Fe 0.4340 0.9340 0.7166
Fe9 Fe 0.4352 0.7119 0.1471
Fe10 Fe 0.5000 0.0000 0.5000
Fe11 Fe 0.5648 0.2881 0.8529
Fe12 Fe 0.5660 0.0660 0.2834
Fe13 Fe 0.7119 0.5648 0.2767
Fe14 Fe 0.7175 0.4340 0.5000
Fe15 Fe 0.7825 0.2825 0.7166
Fe16 Fe 0.7881 0.0648 0.8529
Fe17 Fe 0.9340 0.2175 0.5000
Fe18 Fe 0.9352 0.7881 0.7233
C1 C 0.0000 0.0000 0.0000
C2 C 0.5000 0.5000 0.0000
```

Top 10 peaks for 5 to 70 degrees two-theta, sorted by position:
- 33.96°, rel. 38
- 34.08°, rel. 34
- 34.45°, rel. 41
- 37.43°, rel. 100
- 37.77°, rel. 75
- 45.48°, rel. 92
- 45.67°, rel. 86
- 46.07°, rel. 76
- 48.83°, rel. 28
- 54.14°, rel. 26

---

Please write out number 2 again, unchanged.
Diffraction record for Fe3C. The X-ray diffraction stick pattern is simulated, not measured: it uses a cell relaxed with PBE and Cu Kα.
Intensities are scaled so that the largest is 100.

Cell and atoms:
```
data_Fe3C
_chemical_formula_sum 'Fe6 C2'
_symmetry_space_group_name_H-M 'P 1'
_symmetry_Int_Tables_number 1
_cell_length_a 4.6617
_cell_length_b 4.6617
_cell_length_c 4.3203
_cell_angle_alpha 90.00
_cell_angle_beta 90.00
_cell_angle_gamma 120.00
loop_
_symmetry_equiv_pos_as_xyz
'x,y,z'
loop_
_atom_site_label
_atom_site_type_symbol
_atom_site_fract_x
_atom_site_fract_y
_atom_site_fract_z
Fe1 Fe 0.0000 0.3211 0.0000
Fe2 Fe 0.0000 0.6789 0.5000
Fe3 Fe 0.3211 0.0000 0.0000
Fe4 Fe 0.3211 0.3211 0.5000
Fe5 Fe 0.6789 0.0000 0.5000
Fe6 Fe 0.6789 0.6789 0.0000
C1 C 0.3333 0.6667 0.2500
C2 C 0.6667 0.3333 0.7500
```

Top 9 peaks for 5 to 70 degrees two-theta, sorted by position:
- 30.30°, rel. 1
- 38.63°, rel. 20
- 41.82°, rel. 24
- 44.15°, rel. 100
- 44.90°, rel. 1
- 47.75°, rel. 1
- 58.23°, rel. 16
- 64.80°, rel. 1
- 69.90°, rel. 16